[1]
Structure and calculated powder X-ray diffraction pattern of Li4Mn3O7 (DFT lattice parameters and positions (PBE+U); Cu Kα (weighted mean of Kα1 and Kα2)).
Peak positions follow from Bragg's law for the DFT cell and can differ from measured ones.

The 10 most intense peaks (2θ from 10° to 80°), in order of rising 2θ:
Position (°2θ)	I/Imax	hkl
18.34	100	0 1 -1
33.95	18	2 -1 0
36.21	13	-1 1 3
36.27	12	1 1 2
40.85	35	2 -2 1
44.27	55	1 2 1
46.95	10	1 -1 4
61.53	17	3 0 2
62.08	16	1 -2 5
64.84	7	0 2 5

Structure:
a b c (Å): 5.319 5.996 8.692
angles (deg): 91.67 93.91 110.30
Space group P-1 (No. 2)
One atom of each set of equivalent atoms:
Li  0.000  0.000  0.000
Li  0.000  0.500  0.000
Li  0.145  0.286  0.285
Li  0.286  0.571  0.575
Li  0.422  0.851  0.862
Mn  0.141  0.782  0.283
Mn  0.286  0.071  0.572
Mn  0.429  0.358  0.859
O  0.025  0.763  0.497
O  0.157  0.503  0.790
O  0.166  0.048  0.785
O  0.307  0.801  0.089
O  0.314  0.335  0.065
O  0.403  0.094  0.364
O  0.451  0.617  0.349

=====

[2]
Structure and calculated powder X-ray diffraction pattern of LiMn16O32 (DFT lattice parameters and positions (PBE+U); Cu Kα (weighted mean of Kα1 and Kα2)).
Peak positions follow from Bragg's law for the DFT cell and can differ from measured ones.

The 10 most intense peaks (2θ from 10° to 80°), in order of rising 2θ:
Position (°2θ)	I/Imax	hkl
12.60	100	1 0 1
17.86	85	2 0 0
28.37	26	1 0 3
28.46	27	3 0 -1
36.66	67	2 2 1
41.06	17	0 2 3
48.81	18	1 2 4
48.95	18	4 2 -1
59.13	22	2 2 5
68.50	13	5 2 4

Structure:
a b c (Å): 9.908 5.880 9.959
angles (deg): 90.00 90.22 90.00
Space group Pm (No. 6)
One atom of each set of equivalent atoms:
Li  0.000  0.000  0.000
Mn  0.161  0.251  0.259
Mn  0.177  0.000  0.575
Mn  0.178  0.500  0.575
Mn  0.345  0.250  0.773
Mn  0.358  0.500  0.089
Mn  0.359  0.000  0.088
Mn  0.662  0.000  0.757
Mn  0.663  0.500  0.757
Mn  0.678  0.251  0.073
Mn  0.842  0.000  0.275
Mn  0.843  0.500  0.273
Mn  0.859  0.251  0.590
O  0.054  0.250  0.590
O  0.159  0.000  0.126
O  0.162  0.500  0.130
O  0.176  0.000  0.382
O  0.176  0.500  0.382
O  0.214  0.000  0.769
O  0.215  0.500  0.768
O  0.307  0.250  0.581
O  0.341  0.250  0.965
O  0.353  0.249  0.218
O  0.468  0.000  0.761
O  0.468  0.500  0.760
O  0.553  0.000  0.084
O  0.553  0.500  0.084
O  0.667  0.250  0.629
O  0.681  0.250  0.880
O  0.714  0.250  0.267
O  0.809  0.500  0.081
O  0.815  0.000  0.079
O  0.845  0.000  0.468
O  0.846  0.500  0.467
O  0.856  0.500  0.719
O  0.857  0.000  0.721
O  0.967  0.249  0.259

=====

[3]
Structure and calculated powder X-ray diffraction pattern of Li5MnO5 (DFT lattice parameters and positions (PBE+U); Cu Kα (weighted mean of Kα1 and Kα2)).
Peak positions follow from Bragg's law for the DFT cell and can differ from measured ones.

The 10 most intense peaks (2θ from 10° to 80°), in order of rising 2θ:
Position (°2θ)	I/Imax	hkl
16.46	100	0 0 1
20.17	20	2 0 0
21.81	45	2 0 -1
23.82	87	1 1 0
27.22	20	1 1 -1
29.89	19	2 0 1
43.90	41	0 2 0
44.48	57	2 0 2
57.56	20	3 1 2
64.27	26	2 2 2

Structure:
a b c (Å): 9.251 4.125 5.659
angles (deg): 90.00 107.85 90.00
Space group C2 (No. 5)
One atom of each set of equivalent atoms:
Li  0.000  0.000  0.000
Li  0.187  0.485  0.360
Li  0.201  0.481  0.836
Mn  0.000  0.926  0.500
O  0.000  0.509  0.500
O  0.139  0.006  0.339
O  0.156  0.977  0.814

=====

[4]
Structure and calculated powder X-ray diffraction pattern of LiMn3O6 (DFT lattice parameters and positions (PBE+U); Cu Kα (weighted mean of Kα1 and Kα2)).
Peak positions follow from Bragg's law for the DFT cell and can differ from measured ones.

The 10 most intense peaks (2θ from 10° to 80°), in order of rising 2θ:
Position (°2θ)	I/Imax	hkl
17.82	100	0 1 1
35.11	10	0 1 -5
35.53	11	2 0 -2
36.24	10	2 -2 2
41.95	17	0 0 6
42.90	17	2 1 -1
43.75	16	2 -3 1
55.01	5	0 1 7
56.27	5	2 2 0
62.04	5	2 1 -7

Structure:
a b c (Å): 5.851 6.599 13.177
angles (deg): 99.83 90.84 115.27
Space group P1 (No. 1)
One atom of each set of equivalent atoms:
Li  0.000  0.000  0.000
Li  0.007  0.498  0.501
Li  0.170  0.813  0.191
Li  0.661  0.309  0.687
Mn  0.088  0.158  0.348
Mn  0.090  0.656  0.845
Mn  0.250  0.987  0.510
Mn  0.257  0.488  0.012
Mn  0.414  0.816  0.678
Mn  0.429  0.340  0.187
Mn  0.588  0.158  0.349
Mn  0.590  0.655  0.845
Mn  0.741  0.962  0.504
Mn  0.743  0.458  0.004
Mn  0.916  0.318  0.182
Mn  0.929  0.848  0.685
O  0.060  0.620  0.694
O  0.076  0.115  0.195
O  0.108  0.696  0.995
O  0.133  0.213  0.494
O  0.236  0.945  0.355
O  0.239  0.447  0.859
O  0.279  0.547  0.162
O  0.291  0.044  0.661
O  0.354  0.753  0.529
O  0.381  0.269  0.034
O  0.440  0.370  0.337
O  0.440  0.863  0.831
O  0.543  0.108  0.201
O  0.574  0.617  0.695
O  0.611  0.190  0.501
O  0.615  0.686  0.995
O  0.737  0.948  0.353
O  0.738  0.443  0.840
O  0.755  0.029  0.661
O  0.781  0.529  0.173
O  0.912  0.775  0.515
O  0.913  0.270  0.018
O  0.938  0.365  0.348
O  0.943  0.868  0.850

=====

[5]
Structure and calculated powder X-ray diffraction pattern of Li15Mn2O12 (DFT lattice parameters and positions (PBE+U); Cu Kα (weighted mean of Kα1 and Kα2)).
Peak positions follow from Bragg's law for the DFT cell and can differ from measured ones.

The 10 most intense peaks (2θ from 10° to 80°), in order of rising 2θ:
Position (°2θ)	I/Imax	hkl
18.34	50	0 1 1
19.64	92	0 1 -1
19.74	46	1 0 -1
22.38	100	1 1 0
30.98	15	1 1 2
36.28	18	0 1 3
37.66	65	1 0 3
37.84	33	-2 1 1
50.25	46	1 3 0
50.43	24	-2 2 2

Structure:
a b c (Å): 5.470 5.789 7.974
angles (deg): 85.95 89.72 89.98
Space group P1 (No. 1)
One atom of each set of equivalent atoms:
Li  0.000  0.000  0.000
Li  0.014  0.675  0.393
Li  0.086  0.358  0.718
Li  0.217  0.304  0.434
Li  0.218  0.943  0.735
Li  0.353  0.898  0.451
Li  0.361  0.186  0.157
Li  0.432  0.584  0.810
Li  0.524  0.143  0.882
Li  0.549  0.551  0.521
Li  0.580  0.824  0.188
Li  0.700  0.426  0.250
Li  0.835  0.425  0.965
Li  0.870  0.727  0.684
Li  0.906  0.057  0.293
Mn  0.206  0.612  0.093
Mn  0.713  0.130  0.585
O  0.014  0.963  0.516
O  0.041  0.316  0.158
O  0.084  0.620  0.861
O  0.344  0.917  0.022
O  0.353  0.619  0.321
O  0.418  0.289  0.661
O  0.500  0.444  0.028
O  0.545  0.832  0.649
O  0.570  0.122  0.354
O  0.857  0.136  0.807
O  0.873  0.425  0.520
O  0.913  0.765  0.172

=====

[6]
Structure and calculated powder X-ray diffraction pattern of Li13Mn8O24 (DFT lattice parameters and positions (PBE+U); Cu Kα (weighted mean of Kα1 and Kα2)).
Peak positions follow from Bragg's law for the DFT cell and can differ from measured ones.

The 10 most intense peaks (2θ from 10° to 80°), in order of rising 2θ:
Position (°2θ)	I/Imax	hkl
18.50	100	0 0 2
20.64	28	1 -1 0
21.50	47	1 1 0
23.91	33	1 1 2
27.86	21	1 -1 2
32.51	10	1 1 -2
36.37	12	1 3 2
36.67	24	1 -3 0
43.86	39	1 3 4
44.36	71	2 0 -2

Structure:
a b c (Å): 4.976 8.657 10.187
angles (deg): 72.98 80.28 89.65
Space group P-1 (No. 2)
One atom of each set of equivalent atoms:
Li  0.000  0.000  0.000
Li  0.228  0.922  0.747
Li  0.239  0.924  0.251
Li  0.247  0.249  0.249
Li  0.253  0.254  0.747
Li  0.269  0.579  0.248
Li  0.275  0.576  0.750
Mn  0.001  0.666  0.500
Mn  0.003  0.664  0.000
Mn  0.500  0.166  0.500
Mn  0.500  0.169  0.000
O  0.088  0.461  0.614
O  0.090  0.461  0.115
O  0.140  0.141  0.115
O  0.143  0.782  0.112
O  0.146  0.147  0.617
O  0.147  0.774  0.615
O  0.353  0.353  0.383
O  0.353  0.355  0.883
O  0.354  0.725  0.386
O  0.355  0.724  0.886
O  0.395  0.038  0.889
O  0.411  0.039  0.386

=====

[7]
Structure and calculated powder X-ray diffraction pattern of Li3Mn2O4 (DFT lattice parameters and positions (PBE+U); Cu Kα (weighted mean of Kα1 and Kα2)).
Peak positions follow from Bragg's law for the DFT cell and can differ from measured ones.

The 10 most intense peaks (2θ from 10° to 80°), in order of rising 2θ:
Position (°2θ)	I/Imax	hkl
17.53	100	1 1 0
31.72	39	1 1 -2
34.94	20	1 3 -1
35.06	21	3 1 -1
35.50	24	2 2 -2
37.42	52	0 0 2
42.91	33	0 4 0
43.11	33	4 0 -2
58.25	39	4 0 0
62.46	20	4 4 -2

Structure:
a b c (Å): 8.393 8.431 6.374
angles (deg): 90.00 131.05 90.00
Space group C2/c (No. 15)
One atom of each set of equivalent atoms:
Li  0.000  0.000  0.000
Li  0.000  0.134  0.250
Li  0.250  0.250  0.500
Mn  0.000  0.500  0.000
Mn  0.250  0.250  0.000
O  0.003  0.264  0.497
O  0.247  0.006  0.471

=====

[8]
Structure and calculated powder X-ray diffraction pattern of Li9Mn5O12 (DFT lattice parameters and positions (PBE+U); Cu Kα (weighted mean of Kα1 and Kα2)).
Peak positions follow from Bragg's law for the DFT cell and can differ from measured ones.

The 10 most intense peaks (2θ from 10° to 80°), in order of rising 2θ:
Position (°2θ)	I/Imax	hkl
17.81	100	1 1 1
30.76	32	1 3 1
35.45	58	0 4 0
35.73	14	3 1 -3
36.10	12	2 2 2
36.81	17	1 1 -5
43.96	34	4 0 -2
45.76	29	0 0 6
57.69	24	4 4 -2
59.19	21	0 4 6

Structure:
a b c (Å): 8.239 10.128 12.575
angles (deg): 90.00 108.92 90.00
Space group C2/c (No. 15)
One atom of each set of equivalent atoms:
Li  0.000  0.000  0.000
Li  0.000  0.115  0.250
Li  0.000  0.500  0.000
Li  0.083  0.288  0.162
Li  0.203  0.004  0.844
Li  0.204  0.336  0.019
Mn  0.085  0.230  0.668
Mn  0.170  0.499  0.334
Mn  0.250  0.250  0.500
O  0.016  0.255  0.506
O  0.071  0.489  0.170
O  0.102  0.010  0.675
O  0.155  0.242  0.835
O  0.175  0.245  0.333
O  0.244  0.490  0.495